(1)
Computed powder diffractogram
Compound: Li2GeF6
Radiation: Cu Kα X-rays
Structure: the PBE geometry in the Materials Project
Kinematic intensities with the Lorentz-polarization factor, no thermal factor.

Principal peaks in the range 15 to 90 degrees two-theta, in order of falling intensity:
| h k l | Position (°2θ) | d (Å) | I_rel |
| --- | --- | --- | --- |
| 1 0 1 | 21.47 | 4.138 | 100 |
| 1 1 0 | 27.03 | 3.298 | 42 |
| 0 0 2 | 19.80 | 4.484 | 35 |
| 2 1 3 | 53.57 | 1.711 | 31 |
| 1 1 3 | 40.74 | 2.215 | 28 |
| 1 1 2 | 33.73 | 2.657 | 23 |
| 2 1 1 | 44.60 | 2.032 | 18 |
| 3 0 3 | 67.96 | 1.379 | 15 |
| 2 2 0 | 55.74 | 1.649 | 13 |
| 1 1 6 | 69.03 | 1.361 | 12 |

Structure:
Lattice parameters (Å, degrees): 4.665 4.665 8.967 90.00 90.00 90.00
Space group P4_2/mnm (No. 136)
Unique sites:
Li 0.000 0.000 0.162 [4 per cell]
Ge 0.000 0.000 0.500 [2 per cell]
F 0.189 0.189 0.350 [8 per cell]
F 0.221 0.221 0.000 [4 per cell]

(2)
Computed powder diffractogram
Compound: GeN3F7
Radiation: Cu Kα X-rays
Structure: the PBE geometry in the Materials Project
Kinematic intensities with the Lorentz-polarization factor, no thermal factor.

Principal peaks in the range 15 to 90 degrees two-theta, in order of falling intensity:
| h k l | Position (°2θ) | d (Å) | I_rel |
| --- | --- | --- | --- |
| 0 0 2 | 22.56 | 3.941 | 100 |
| 1 1 1 | 21.83 | 4.072 | 63 |
| 2 2 2 | 44.51 | 2.036 | 54 |
| 2 2 0 | 37.84 | 2.378 | 52 |
| 1 1 0 | 18.66 | 4.755 | 52 |
| 2 0 1 | 28.87 | 3.093 | 47 |
| 3 1 1 | 44.11 | 2.053 | 47 |
| 2 1 1 | 31.85 | 2.810 | 46 |
| 1 1 3 | 39.17 | 2.300 | 36 |
| 0 0 3 | 34.13 | 2.627 | 26 |

Structure:
Lattice parameters (Å, degrees): 6.725 6.725 7.882 90.00 90.00 90.00
Space group P4/mbm (No. 127)
Unique sites:
Ge 0.000 0.500 0.000 [2 per cell]
N 0.000 0.000 0.000 [2 per cell]
N 0.240 0.260 0.500 [4 per cell]
F 0.000 0.000 0.500 [2 per cell]
F 0.152 0.348 0.363 [8 per cell]
F 0.208 0.708 0.000 [4 per cell]

(3)
Computed powder diffractogram
Compound: GeN3F7
Radiation: Cu Kα X-rays
Structure: the PBE geometry in the Materials Project
Kinematic intensities with the Lorentz-polarization factor, no thermal factor.

Principal peaks in the range 15 to 90 degrees two-theta, in order of falling intensity:
| h k l | Position (°2θ) | d (Å) | I_rel |
| --- | --- | --- | --- |
| 0 2 0 | 15.21 | 5.827 | 100 |
| 1 2 -2 | 26.00 | 3.427 | 89 |
| 0 2 2 | 22.18 | 4.007 | 70 |
| 1 2 2 | 27.72 | 3.218 | 64 |
| 0 0 2 | 16.06 | 5.520 | 51 |
| 1 2 0 | 21.41 | 4.151 | 41 |
| 0 4 0 | 30.71 | 2.911 | 34 |
| 1 0 2 | 23.04 | 3.861 | 31 |
| 1 0 -2 | 20.97 | 4.237 | 26 |
| 0 0 4 | 32.44 | 2.760 | 25 |

Structure:
Lattice parameters (Å, degrees): 5.941 11.654 11.088 90.00 95.33 90.00
Space group P2_1/c (No. 14)
Unique sites:
Ge 0.000 0.000 0.000 [2 per cell]
Ge 0.000 0.000 0.500 [2 per cell]
N 0.033 0.236 0.283 [4 per cell]
N 0.424 0.005 0.252 [4 per cell]
N 0.465 0.728 0.491 [4 per cell]
F 0.008 0.618 0.182 [4 per cell]
F 0.031 0.147 0.029 [4 per cell]
F 0.158 0.598 0.923 [4 per cell]
F 0.225 0.006 0.908 [4 per cell]
F 0.249 0.070 0.556 [4 per cell]
F 0.256 0.238 0.272 [4 per cell]
F 0.279 0.556 0.674 [4 per cell]

(4)
Computed powder diffractogram
Compound: GeN3F7
Radiation: Cu Kα X-rays
Structure: the PBE geometry in the Materials Project
Kinematic intensities with the Lorentz-polarization factor, no thermal factor.

Principal peaks in the range 15 to 90 degrees two-theta, in order of falling intensity:
| h k l | Position (°2θ) | d (Å) | I_rel |
| --- | --- | --- | --- |
| 1 1 1 | 21.70 | 4.096 | 100 |
| 2 0 1 | 26.28 | 3.391 | 75 |
| 2 2 0 | 29.56 | 3.022 | 74 |
| 2 1 1 | 28.32 | 3.152 | 54 |
| 3 1 1 | 36.97 | 2.432 | 41 |
| 2 2 2 | 44.23 | 2.048 | 33 |
| 2 1 2 | 40.06 | 2.251 | 26 |
| 2 0 2 | 38.58 | 2.333 | 26 |
| 4 2 1 | 50.49 | 1.807 | 25 |
| 3 3 0 | 45.00 | 2.014 | 24 |

Structure:
Lattice parameters (Å, degrees): 8.547 8.547 5.571 90.00 90.00 90.00
Space group P4/mbm (No. 127)
Unique sites:
Ge 0.000 0.500 0.000 [2 per cell]
N 0.000 0.000 0.000 [2 per cell]
N 0.227 0.273 0.500 [4 per cell]
F 0.000 0.000 0.500 [2 per cell]
F 0.154 0.654 0.000 [4 per cell]
F 0.155 0.345 0.305 [8 per cell]

(5)
Computed powder diffractogram
Compound: Na2GeF6
Radiation: Cu Kα X-rays
Structure: the PBE geometry in the Materials Project
Kinematic intensities with the Lorentz-polarization factor, no thermal factor.

Principal peaks in the range 15 to 90 degrees two-theta, in order of falling intensity:
| h k l | Position (°2θ) | d (Å) | I_rel |
| --- | --- | --- | --- |
| 0 1 1 | 20.40 | 4.354 | 100 |
| 1 1 0 | 19.23 | 4.616 | 96 |
| 3 0 2 | 48.99 | 1.859 | 63 |
| 2 0 1 | 28.18 | 3.167 | 55 |
| 3 0 1 | 37.95 | 2.371 | 43 |
| 1 1 1 | 25.83 | 3.449 | 38 |
| 1 2 1 | 34.34 | 2.612 | 34 |
| 2 3 1 | 52.94 | 1.729 | 23 |
| 3 3 0 | 60.13 | 1.539 | 19 |
| 3 0 0 | 33.63 | 2.665 | 15 |

Structure:
Lattice parameters (Å, degrees): 9.2323 9.2323 5.1904 90.00 90.00 120.00
Space group P321 (No. 150)
Unique sites:
Na 0.0000 0.3750 0.0000 [3 per cell]
Na 0.0000 0.7097 0.5000 [3 per cell]
Ge 0.0000 0.0000 0.0000 [1 per cell]
Ge 0.3333 0.6667 0.4952 [2 per cell]
F 0.0864 0.1884 0.2006 [6 per cell]
F 0.1465 0.5932 0.2924 [6 per cell]
F 0.2248 0.4787 0.6974 [6 per cell]

(6)
Computed powder diffractogram
Compound: Na2GeF6
Radiation: Cu Kα X-rays
Structure: the PBE geometry in the Materials Project
Kinematic intensities with the Lorentz-polarization factor, no thermal factor.

Principal peaks in the range 15 to 90 degrees two-theta, in order of falling intensity:
| h k l | Position (°2θ) | d (Å) | I_rel |
| --- | --- | --- | --- |
| 1 1 0 | 18.55 | 4.782 | 100 |
| 0 1 1 | 21.84 | 4.070 | 77 |
| 3 0 2 | 51.22 | 1.784 | 58 |
| 0 3 1 | 37.85 | 2.377 | 43 |
| 1 1 1 | 26.67 | 3.342 | 34 |
| 0 2 1 | 28.80 | 3.099 | 32 |
| 1 2 1 | 34.48 | 2.601 | 29 |
| 3 3 0 | 57.85 | 1.594 | 25 |
| 3 0 0 | 32.43 | 2.761 | 21 |
| 4 1 1 | 54.43 | 1.686 | 18 |

Structure:
Lattice parameters (Å, degrees): 9.5639 9.5639 4.6732 90.00 90.00 120.00
Space group P-3m1 (No. 164)
Unique sites:
Na 0.0000 0.3428 0.0000 [6 per cell]
Ge 0.0000 0.0000 0.0000 [1 per cell]
Ge 0.3333 0.6667 0.5003 [2 per cell]
F 0.0930 0.1861 0.2141 [6 per cell]
F 0.1505 0.5752 0.2752 [6 per cell]
F 0.2419 0.4839 0.7235 [6 per cell]

(7)
Computed powder diffractogram
Compound: Y6Ge2O13F3
Radiation: Cu Kα X-rays
Structure: the PBE geometry in the Materials Project
Kinematic intensities with the Lorentz-polarization factor, no thermal factor.

Principal peaks in the range 15 to 90 degrees two-theta, in order of falling intensity:
| h k l | Position (°2θ) | d (Å) | I_rel |
| --- | --- | --- | --- |
| -1 1 2 | 31.05 | 2.880 | 100 |
| 0 1 0 | 15.30 | 5.792 | 90 |
| 1 2 0 | 30.96 | 2.889 | 89 |
| 1 -1 2 | 31.24 | 2.863 | 86 |
| 1 1 2 | 25.87 | 3.444 | 82 |
| 1 1 3 | 32.33 | 2.769 | 80 |
| 1 0 2 | 24.15 | 3.686 | 77 |
| 1 1 -2 | 26.27 | 3.392 | 75 |
| 2 3 -2 | 54.06 | 1.696 | 75 |
| 0 0 4 | 34.66 | 2.588 | 70 |

Structure:
Lattice parameters (Å, degrees): 5.451 6.017 10.356 89.05 89.55 74.30
Space group P1 (No. 1)
Unique sites:
Y 0.000 0.000 0.000 [1 per cell]
Y 0.004 0.992 0.408 [1 per cell]
Y 0.102 0.480 0.208 [1 per cell]
Y 0.532 0.098 0.708 [1 per cell]
Y 0.627 0.590 0.505 [1 per cell]
Y 0.631 0.595 0.916 [1 per cell]
Ge 0.124 0.772 0.704 [1 per cell]
Ge 0.512 0.808 0.208 [1 per cell]
O 0.298 0.475 0.690 [1 per cell]
O 0.304 0.901 0.580 [1 per cell]
O 0.307 0.893 0.830 [1 per cell]
O 0.328 0.683 0.334 [1 per cell]
O 0.330 0.686 0.085 [1 per cell]
O 0.349 0.109 0.206 [1 per cell]
O 0.615 0.229 0.913 [1 per cell]
O 0.723 0.405 0.717 [1 per cell]
O 0.774 0.749 0.329 [1 per cell]
O 0.778 0.754 0.088 [1 per cell]
O 0.857 0.827 0.585 [1 per cell]
O 0.867 0.820 0.826 [1 per cell]
O 0.923 0.165 0.205 [1 per cell]
F 0.031 0.357 0.434 [1 per cell]
F 0.043 0.364 0.982 [1 per cell]
F 0.610 0.225 0.480 [1 per cell]

(8)
Computed powder diffractogram
Compound: Rb2GeF6
Radiation: Cu Kα X-rays
Structure: the PBE geometry in the Materials Project
Kinematic intensities with the Lorentz-polarization factor, no thermal factor.

Principal peaks in the range 15 to 90 degrees two-theta, in order of falling intensity:
| h k l | Position (°2θ) | d (Å) | I_rel |
| --- | --- | --- | --- |
| 1 0 2 | 24.69 | 3.607 | 100 |
| 1 1 0 | 29.38 | 3.040 | 87 |
| 2 0 2 | 38.74 | 2.324 | 80 |
| 1 0 1 | 19.09 | 4.649 | 37 |
| 1 0 3 | 32.01 | 2.796 | 34 |
| 2 0 3 | 44.00 | 2.058 | 32 |
| 2 2 0 | 60.96 | 1.520 | 24 |
| 2 1 2 | 49.36 | 1.846 | 22 |
| 2 1 3 | 53.79 | 1.704 | 20 |
| 2 0 5 | 58.31 | 1.582 | 16 |

Structure:
Lattice parameters (Å, degrees): 6.0795 6.0795 9.9005 90.00 90.00 120.00
Space group P6_3mc (No. 186)
Unique sites:
Rb 0.0000 0.0000 0.0000 [2 per cell]
Rb 0.3333 0.6667 0.2767 [2 per cell]
Ge 0.3333 0.6667 0.6614 [2 per cell]
F 0.0499 0.5250 0.5525 [6 per cell]
F 0.1884 0.3768 0.7646 [6 per cell]

(9)
Computed powder diffractogram
Compound: Rb2GeF6
Radiation: Cu Kα X-rays
Structure: the PBE geometry in the Materials Project
Kinematic intensities with the Lorentz-polarization factor, no thermal factor.

Principal peaks in the range 15 to 90 degrees two-theta, in order of falling intensity:
| h k l | Position (°2θ) | d (Å) | I_rel |
| --- | --- | --- | --- |
| 1 0 1 | 24.93 | 3.572 | 100 |
| 0 2 1 | 39.36 | 2.289 | 71 |
| 1 1 0 | 29.96 | 2.982 | 54 |
| 0 1 2 | 40.45 | 2.230 | 24 |
| 1 2 2 | 60.42 | 1.532 | 22 |
| 2 1 1 | 50.24 | 1.816 | 21 |
| 2 0 2 | 51.15 | 1.786 | 20 |
| 2 2 0 | 62.27 | 1.491 | 15 |
| 1 1 3 | 64.61 | 1.443 | 14 |
| 1 3 1 | 68.15 | 1.376 | 13 |

Structure:
Lattice parameters (Å, degrees): 5.9643 5.9643 4.9448 90.00 90.00 120.00
Space group P-3m1 (No. 164)
Unique sites:
Rb 0.3333 0.6667 0.2007 [2 per cell]
Ge 0.0000 0.0000 0.5000 [1 per cell]
F 0.1472 0.2945 0.7095 [6 per cell]

(10)
Computed powder diffractogram
Compound: Rb2GeF6
Radiation: Cu Kα X-rays
Structure: the PBE geometry in the Materials Project
Kinematic intensities with the Lorentz-polarization factor, no thermal factor.

Principal peaks in the range 15 to 90 degrees two-theta, in order of falling intensity:
| h k l | Position (°2θ) | d (Å) | I_rel |
| --- | --- | --- | --- |
| 2 2 0 | 28.93 | 3.087 | 100 |
| 1 1 1 | 17.60 | 5.040 | 54 |
| 4 0 0 | 41.37 | 2.183 | 47 |
| 4 2 2 | 51.27 | 1.782 | 35 |
| 2 2 2 | 35.62 | 2.520 | 33 |
| 4 4 0 | 59.94 | 1.543 | 26 |
| 6 4 2 | 82.73 | 1.167 | 23 |
| 6 2 0 | 67.90 | 1.380 | 22 |
| 3 1 1 | 34.06 | 2.632 | 13 |
| 5 1 1 | 54.63 | 1.680 | 11 |

Structure:
Lattice parameters (Å, degrees): 8.730 8.730 8.730 90.00 90.00 90.00
Space group Fm-3m (No. 225)
Unique sites:
Rb 0.250 0.250 0.250 [8 per cell]
Ge 0.000 0.000 0.000 [4 per cell]
F 0.000 0.000 0.210 [24 per cell]

(11)
Computed powder diffractogram
Compound: TlGeF3
Radiation: Cu Kα X-rays
Structure: the PBE geometry in the Materials Project
Kinematic intensities with the Lorentz-polarization factor, no thermal factor.

Principal peaks in the range 15 to 90 degrees two-theta, in order of falling intensity:
| h k l | Position (°2θ) | d (Å) | I_rel |
| --- | --- | --- | --- |
| 0 1 -1 | 23.93 | 3.719 | 100 |
| 1 0 -1 | 25.71 | 3.465 | 74 |
| 1 -1 0 | 26.72 | 3.336 | 72 |
| 1 0 1 | 27.60 | 3.232 | 72 |
| 1 1 0 | 27.29 | 3.268 | 71 |
| 0 1 1 | 29.61 | 3.017 | 55 |
| 0 2 0 | 38.91 | 2.315 | 45 |
| 0 0 2 | 37.93 | 2.372 | 40 |
| 1 0 0 | 18.85 | 4.709 | 37 |
| 0 0 1 | 18.70 | 4.745 | 34 |

Structure:
Lattice parameters (Å, degrees): 4.720 4.732 4.860 101.86 93.83 90.37
Space group P1 (No. 1)
Unique sites:
Tl 0.000 0.000 0.000 [1 per cell]
Ge 0.414 0.465 0.532 [1 per cell]
F 0.373 0.504 0.924 [1 per cell]
F 0.375 0.874 0.583 [1 per cell]
F 0.815 0.500 0.589 [1 per cell]